# Ta6S
Simulated XRD peak list, Cu Kα (λ = 1.5418 Å). Input: DFT lattice parameters and positions (PBE).

Largest 12 diffraction maxima, in order of falling intensity, 5 to 70 degrees two-theta:
37.19 deg, I 100, hkl 5 1 -1
39.91 deg, I 97, hkl 3 1 3
37.37 deg, I 93, hkl 4 0 -6
39.70 deg, I 92, hkl 0 2 3
34.95 deg, I 91, hkl 3 1 -5
38.65 deg, I 71, hkl 2 2 1
43.07 deg, I 60, hkl 4 2 -3
38.74 deg, I 56, hkl 2 2 -3
34.47 deg, I 44, hkl 0 2 1
37.08 deg, I 39, hkl 4 0 2
36.34 deg, I 38, hkl 2 0 4
41.87 deg, I 37, hkl 1 1 5

```
data_Ta6S
_chemical_formula_sum 'Ta48 S8'
_cell_length_a 14.2441
_cell_length_b 5.3093
_cell_length_c 14.8947
_cell_angle_alpha 90.00
_cell_angle_beta 118.09
_cell_angle_gamma 90.00
_space_group_name_H-M_alt 'C 1 2/c 1'
_space_group_IT_number 15
loop_
_space_group_symop_operation_xyz
'x,y,z'
'-x,-y,-z'
'-x,y,-z+1/2'
'x,-y,z+1/2'
'x+1/2,y+1/2,z'
'-x+1/2,-y+1/2,-z'
'-x+1/2,y+1/2,-z+1/2'
'x+1/2,-y+1/2,z+1/2'
loop_
_atom_site_label
_atom_site_type_symbol
_atom_site_fract_x
_atom_site_fract_y
_atom_site_fract_z
_atom_site_occupancy
Ta1 Ta 0.0359 0.1468 0.1739 1
Ta2 Ta 0.0630 0.3360 0.5941 1
Ta3 Ta 0.1060 0.3183 0.8174 1
Ta4 Ta 0.1611 0.1594 0.0459 1
Ta5 Ta 0.2109 0.1482 0.3969 1
Ta6 Ta 0.2476 0.4080 0.2517 1
S1 S 0.1090 0.4151 0.4565 1
```